For Pm4Nd15In, a PBE-relaxed structure gives the simulated powder X-ray diffraction pattern in this record (Cu Kα (λ = 1.5418 Å)).

Most intense lines, 10° ≤ 2θ ≤ 90°, in order of falling intensity:
hkl, 2θ (°), I/Imax
1 1 5, 30.0, 100
2 0 0, 35.0, 34
3 1 5, 59.7, 28
2 0 10, 49.9, 24
0 0 10, 34.5, 17
1 1 15, 59.0, 14
2 2 10, 62.4, 12
2 2 0, 50.3, 12
3 1 15, 81.2, 11
3 3 5, 81.7, 6
4 2 0, 84.4, 6
4 0 10, 84.1, 5

Cell and atoms:
```
Pm4Nd15In
1.0
5.133 0.000 0.000
0.000 5.133 0.000
0.000 0.000 26.015
Pm Nd In
4 15 1
Direct
0.000 0.000 0.101
0.000 0.000 0.303
0.000 0.000 0.697
0.000 0.000 0.899
0.000 0.500 0.000
0.000 0.500 0.202
0.000 0.500 0.405
0.000 0.500 0.595
0.000 0.500 0.798
0.500 0.000 0.000
0.500 0.000 0.202
0.500 0.000 0.405
0.500 0.000 0.595
0.500 0.000 0.798
0.500 0.500 0.101
0.500 0.500 0.304
0.500 0.500 0.500
0.500 0.500 0.696
0.500 0.500 0.899
0.000 0.000 0.500
```